Entry 1:
Starting from DFT lattice parameters and positions (GGA-PBE), the powder diffraction line list of SrAc3H8 was calculated for CuKα.
Neutral-atom scattering factors, no anomalous dispersion.

```
data_SrAc3H8
_cell_length_a 5.8649
_cell_length_b 5.8649
_cell_length_c 5.8649
_cell_angle_alpha 90.00
_cell_angle_beta 90.00
_cell_angle_gamma 90.00
_space_group_name_H-M_alt 'P m -3 m'
_space_group_IT_number 221
_space_group_name_Hall '-P 4 2 3'
loop_
_atom_site_label
_atom_site_fract_x
_atom_site_fract_y
_atom_site_fract_z
Sr1 0.0000 0.0000 0.0000
Ac1 0.0000 0.5000 0.5000
H1 0.2501 0.2501 0.2501
```

The 10 most intense peaks (15 to 90 degrees two-theta), in order of rising 2θ:
- 15.11°, intensity 8
- 26.32°, intensity 100
- 30.48°, intensity 50
- 43.65°, intensity 41
- 51.69°, intensity 49
- 54.17°, intensity 14
- 69.91°, intensity 20
- 72.01°, intensity 18
- 80.17°, intensity 14
- 86.16°, intensity 16

---

Entry 2:
Starting from DFT lattice parameters and positions (GGA-PBE), the powder diffraction line list of Li3GaC was calculated for CuKα.
Neutral-atom scattering factors, no anomalous dispersion.

```
data_Li3GaC
_cell_length_a 4.0905
_cell_length_b 4.0905
_cell_length_c 4.0905
_cell_angle_alpha 90.00
_cell_angle_beta 90.00
_cell_angle_gamma 90.00
_space_group_name_H-M_alt 'P m -3 m'
_space_group_IT_number 221
_space_group_name_Hall '-P 4 2 3'
loop_
_atom_site_label
_atom_site_fract_x
_atom_site_fract_y
_atom_site_fract_z
Li1 0.0000 0.0000 0.5000
Ga1 0.5000 0.5000 0.5000
C1 0.0000 0.0000 0.0000
```

The 10 most intense peaks (15 to 90 degrees two-theta), in order of rising 2θ:
- 21.73°, intensity 59
- 30.92°, intensity 100
- 38.10°, intensity 37
- 44.29°, intensity 28
- 49.85°, intensity 29
- 54.99°, intensity 35
- 64.42°, intensity 17
- 73.16°, intensity 14
- 77.37°, intensity 14
- 89.69°, intensity 17

---

Entry 3:
Starting from DFT lattice parameters and positions (GGA-PBE), the powder diffraction line list of La6NdEr5 was calculated for CuKα.
Neutral-atom scattering factors, no anomalous dispersion.

```
data_La6NdEr5
_cell_length_a 6.2145
_cell_length_b 7.3903
_cell_length_c 9.6463
_cell_angle_alpha 112.40
_cell_angle_beta 92.14
_cell_angle_gamma 90.04
_space_group_name_H-M_alt 'P -1'
_space_group_IT_number 2
loop_
_space_group_symop_operation_xyz
'x,y,z'
'-x,-y,-z'
loop_
_atom_site_label
_atom_site_fract_x
_atom_site_fract_y
_atom_site_fract_z
La1 0.0003 0.2488 0.0001
La2 0.3306 0.0822 0.6647
La3 0.3307 0.5826 0.6646
Nd1 0.5000 0.5000 0.0000
Er1 0.1672 0.6670 0.3342
Er2 0.1687 0.1663 0.3329
Er3 0.5000 0.0000 0.0000
```

The 10 most intense peaks (15 to 90 degrees two-theta), in order of rising 2θ:
- 30.08°, intensity 100
- 34.30°, intensity 18
- 34.37°, intensity 18
- 35.92°, intensity 16
- 50.55°, intensity 18
- 58.83°, intensity 15
- 58.93°, intensity 15
- 60.99°, intensity 13
- 62.54°, intensity 9
- 82.13°, intensity 7

---

Entry 4:
Starting from DFT lattice parameters and positions (GGA-PBE), the powder diffraction line list of KIrS was calculated for CuKα.
Neutral-atom scattering factors, no anomalous dispersion.

```
data_KIrS
_cell_length_a 4.1576
_cell_length_b 6.3362
_cell_length_c 6.6673
_cell_angle_alpha 107.93
_cell_angle_beta 90.33
_cell_angle_gamma 109.11
_space_group_name_H-M_alt 'P -1'
_space_group_IT_number 2
loop_
_space_group_symop_operation_xyz
'x,y,z'
'-x,-y,-z'
loop_
_atom_site_label
_atom_site_fract_x
_atom_site_fract_y
_atom_site_fract_z
K1 0.1068 0.2081 0.3015
Ir1 0.2087 0.4198 0.8629
S1 0.3704 0.7376 0.1940
```

The 10 most intense peaks (15 to 90 degrees two-theta), in order of rising 2θ:
- 15.67°, intensity 99
- 17.30°, intensity 100
- 30.10°, intensity 38
- 32.04°, intensity 20
- 34.41°, intensity 23
- 34.61°, intensity 23
- 35.01°, intensity 20
- 38.23°, intensity 24
- 38.35°, intensity 23
- 43.54°, intensity 22

---

Entry 5:
Starting from DFT lattice parameters and positions (GGA-PBE), the powder diffraction line list of Sn2SbPb8 was calculated for CuKα.
Neutral-atom scattering factors, no anomalous dispersion.

```
data_Sn2SbPb8
_cell_length_a 16.5244
_cell_length_b 8.7081
_cell_length_c 5.3734
_cell_angle_alpha 90.00
_cell_angle_beta 106.56
_cell_angle_gamma 90.00
_space_group_name_H-M_alt 'C 1 2/m 1'
_space_group_IT_number 12
loop_
_space_group_symop_operation_xyz
'x,y,z'
'-x,-y,-z'
'-x,y,-z'
'x,-y,z'
'x+1/2,y+1/2,z'
'-x+1/2,-y+1/2,-z'
'-x+1/2,y+1/2,-z'
'x+1/2,-y+1/2,z'
loop_
_atom_site_label
_atom_site_fract_x
_atom_site_fract_y
_atom_site_fract_z
Sn1 0.2440 0.0000 0.2375
Sb1 0.0000 0.5000 0.5000
Pb1 0.0623 0.0000 0.2846
Pb2 0.1310 0.2277 0.7862
Pb3 0.1369 0.5000 0.2034
```

The 10 most intense peaks (15 to 90 degrees two-theta), in order of rising 2θ:
- 22.45°, intensity 28
- 27.11°, intensity 79
- 30.39°, intensity 60
- 30.52°, intensity 21
- 31.03°, intensity 100
- 34.84°, intensity 33
- 35.71°, intensity 23
- 39.47°, intensity 19
- 41.49°, intensity 41
- 60.85°, intensity 23

---

Entry 6:
Starting from DFT lattice parameters and positions (GGA-PBE), the powder diffraction line list of GaCu3S3 was calculated for CuKα.
Neutral-atom scattering factors, no anomalous dispersion.

```
data_GaCu3S3
_cell_length_a 9.3015
_cell_length_b 3.9794
_cell_length_c 9.3973
_cell_angle_alpha 90.00
_cell_angle_beta 118.11
_cell_angle_gamma 90.00
_space_group_name_H-M_alt 'P 1 21/m 1'
_space_group_IT_number 11
loop_
_space_group_symop_operation_xyz
'x,y,z'
'-x,-y,-z'
'-x,y+1/2,-z'
'x,-y+1/2,z'
loop_
_atom_site_label
_atom_site_fract_x
_atom_site_fract_y
_atom_site_fract_z
Ga1 0.1679 0.2500 0.3269
Cu1 0.1614 0.2500 0.9693
Cu2 0.1811 0.7500 0.6526
Cu3 0.4762 0.7500 0.3088
S1 0.0997 0.7500 0.8454
S2 0.2493 0.2500 0.5922
S3 0.3499 0.2500 0.2345
```

The 10 most intense peaks (15 to 90 degrees two-theta), in order of rising 2θ:
- 24.84°, intensity 100
- 24.98°, intensity 44
- 29.13°, intensity 98
- 29.43°, intensity 88
- 29.55°, intensity 81
- 32.40°, intensity 78
- 32.75°, intensity 95
- 33.53°, intensity 86
- 44.83°, intensity 46
- 45.59°, intensity 83

---

Entry 7:
Starting from DFT lattice parameters and positions (GGA-PBE), the powder diffraction line list of Ba14Ni3Ag6 was calculated for CuKα.
Neutral-atom scattering factors, no anomalous dispersion.

```
data_Ba14Ni3Ag6
_cell_length_a 11.7597
_cell_length_b 11.7597
_cell_length_c 8.0594
_cell_angle_alpha 90.00
_cell_angle_beta 90.00
_cell_angle_gamma 120.00
_space_group_name_H-M_alt 'P 3'
_space_group_IT_number 143
loop_
_space_group_symop_operation_xyz
'x,y,z'
'-y,x-y,z'
'-x+y,-x,z'
loop_
_atom_site_label
_atom_site_fract_x
_atom_site_fract_y
_atom_site_fract_z
Ba1 0.0000 0.0000 0.0000
Ba2 0.0869 0.5437 0.2837
Ba3 0.2072 0.4149 0.7577
Ba4 0.2475 0.1240 0.4499
Ba5 0.4186 0.2091 0.9560
Ba6 0.6667 0.3333 0.5062
Ni1 0.0000 0.0000 0.6452
Ni2 0.3333 0.6667 0.5229
Ni3 0.6667 0.3333 0.1492
Ag1 0.1462 0.2934 0.1807
Ag2 0.5198 0.4791 0.6867
```

The 10 most intense peaks (15 to 90 degrees two-theta), in order of rising 2θ:
- 23.75°, intensity 39
- 25.65°, intensity 100
- 28.24°, intensity 65
- 28.53°, intensity 57
- 30.40°, intensity 55
- 37.87°, intensity 34
- 42.93°, intensity 28
- 44.84°, intensity 21
- 45.95°, intensity 27
- 46.32°, intensity 24

---

Entry 8:
Starting from DFT lattice parameters and positions (GGA-PBE), the powder diffraction line list of AlGa2HgSe6 was calculated for CuKα.
Neutral-atom scattering factors, no anomalous dispersion.

```
data_AlGa2HgSe6
_cell_length_a 13.1873
_cell_length_b 13.3231
_cell_length_c 6.9916
_cell_angle_alpha 90.00
_cell_angle_beta 115.03
_cell_angle_gamma 90.00
_space_group_name_H-M_alt 'C 1 2/c 1'
_space_group_IT_number 15
loop_
_space_group_symop_operation_xyz
'x,y,z'
'-x,-y,-z'
'-x,y,-z+1/2'
'x,-y,z+1/2'
'x+1/2,y+1/2,z'
'-x+1/2,-y+1/2,-z'
'-x+1/2,y+1/2,-z+1/2'
'x+1/2,-y+1/2,z+1/2'
loop_
_atom_site_label
_atom_site_fract_x
_atom_site_fract_y
_atom_site_fract_z
Al1 0.0000 0.1696 0.2500
Ga1 0.1884 0.4176 0.6865
Hg1 0.0000 0.1961 0.7500
Se1 0.1070 0.4431 0.9424
Se2 0.1106 0.0692 0.1165
Se3 0.1400 0.2391 0.5819
```

The 10 most intense peaks (15 to 90 degrees two-theta), in order of rising 2θ:
- 19.60°, intensity 98
- 20.47°, intensity 30
- 21.34°, intensity 59
- 27.31°, intensity 65
- 30.31°, intensity 100
- 31.28°, intensity 69
- 32.88°, intensity 40
- 34.72°, intensity 33
- 37.32°, intensity 64
- 49.25°, intensity 47

---

Entry 9:
Starting from DFT lattice parameters and positions (GGA-PBE), the powder diffraction line list of H2SeS8 was calculated for CuKα.
Neutral-atom scattering factors, no anomalous dispersion.

```
data_H2SeS8
_cell_length_a 5.8871
_cell_length_b 6.3044
_cell_length_c 8.2645
_cell_angle_alpha 82.73
_cell_angle_beta 79.42
_cell_angle_gamma 81.22
_space_group_name_H-M_alt 'P -1'
_space_group_IT_number 2
loop_
_space_group_symop_operation_xyz
'x,y,z'
'-x,-y,-z'
loop_
_atom_site_label
_atom_site_fract_x
_atom_site_fract_y
_atom_site_fract_z
H1 0.1710 0.1136 0.0224
Se1 0.0000 0.5000 0.5000
S1 0.0243 0.5711 0.1867
S2 0.2161 0.0464 0.1779
S3 0.3066 0.7195 0.1407
S4 0.3770 0.6271 0.5028
```

The 10 most intense peaks (15 to 90 degrees two-theta), in order of rising 2θ:
- 15.45°, intensity 28
- 17.12°, intensity 100
- 17.39°, intensity 46
- 20.43°, intensity 23
- 22.47°, intensity 40
- 24.73°, intensity 24
- 27.54°, intensity 31
- 32.62°, intensity 43
- 33.26°, intensity 55
- 34.67°, intensity 35

---

Entry 10:
Starting from DFT lattice parameters and positions (GGA-PBE), the powder diffraction line list of Ca2Be2AlRh5 was calculated for CuKα.
Neutral-atom scattering factors, no anomalous dispersion.

```
data_Ca2Be2AlRh5
_cell_length_a 9.7341
_cell_length_b 9.7341
_cell_length_c 3.1132
_cell_angle_alpha 90.00
_cell_angle_beta 90.00
_cell_angle_gamma 90.00
_space_group_name_H-M_alt 'P 4/m b m'
_space_group_IT_number 127
_space_group_name_Hall '-P 4 2ab'
loop_
_atom_site_label
_atom_site_fract_x
_atom_site_fract_y
_atom_site_fract_z
Ca1 0.1765 0.3235 0.0000
Be1 0.1232 0.6232 0.0000
Al1 0.0000 0.0000 0.0000
Rh1 0.0000 0.5000 0.5000
Rh2 0.0654 0.7909 0.5000
```

The 10 most intense peaks (15 to 90 degrees two-theta), in order of rising 2θ:
- 28.67°, intensity 65
- 29.01°, intensity 36
- 33.18°, intensity 38
- 35.45°, intensity 46
- 38.12°, intensity 89
- 41.24°, intensity 100
- 41.49°, intensity 32
- 44.42°, intensity 50
- 48.39°, intensity 31
- 75.51°, intensity 32

---

Entry 11:
Starting from DFT lattice parameters and positions (GGA-PBE), the powder diffraction line list of Y4HoSe5 was calculated for CuKα.
Neutral-atom scattering factors, no anomalous dispersion.

```
data_Y4HoSe5
_cell_length_a 4.0735
_cell_length_b 4.0735
_cell_length_c 28.9668
_cell_angle_alpha 90.00
_cell_angle_beta 90.00
_cell_angle_gamma 90.00
_space_group_name_H-M_alt 'I 4/m m m'
_space_group_IT_number 139
_space_group_name_Hall '-I 4 2'
loop_
_atom_site_label
_atom_site_fract_x
_atom_site_fract_y
_atom_site_fract_z
Y1 0.0000 0.0000 0.1018
Y2 0.0000 0.0000 0.3035
Ho1 0.0000 0.0000 0.5000
Se1 0.0000 0.0000 0.0000
Se2 0.0000 0.0000 0.2021
Se3 0.0000 0.0000 0.4020
```

The 10 most intense peaks (15 to 90 degrees two-theta), in order of rising 2θ:
- 30.87°, intensity 51
- 31.05°, intensity 100
- 44.35°, intensity 72
- 44.48°, intensity 36
- 55.12°, intensity 38
- 64.73°, intensity 12
- 73.14°, intensity 15
- 73.42°, intensity 16
- 73.52°, intensity 16
- 81.84°, intensity 24